Starting from a PBE-relaxed structure, the X-ray diffraction stick pattern of Co6Ge2C was simulated for copper Kα.

Principal peaks in the range 15 to 90 degrees two-theta, most intense first:
- 42.9 deg, I = 100
- 49.3 deg, I = 36
- 87.8 deg, I = 23
- 73.8 deg, I = 18
- 51.2 deg, I = 15
- 72.2 deg, I = 10
- 52.0 deg, I = 2
- 37.8 deg, I = 1
- 76.0 deg, I = 1
- 63.8 deg, I = 1

Crystal structure
```
9
Lattice="3.699 0.000 0.000 0.000 3.699 0.000 0.000 0.000 7.134" Properties=species:S:1:pos:R:3 pbc="T T T"
Co 0.000 0.000 1.723
Co 0.000 0.000 5.411
Co 0.000 1.849 0.000
Co 0.000 1.849 3.567
Co 1.849 0.000 0.000
Co 1.849 0.000 3.567
Ge 1.849 1.849 1.642
Ge 1.849 1.849 5.492
C 0.000 0.000 3.567
```